For Sb2P4H3O16, a crystal structure in Alexandria, relaxed with PBE gives the computed X-ray powder pattern in this record (Cu Kα (λ = 1.5418 Å)).
Kinematic intensities with the Lorentz-polarization factor, no thermal factor.

Most intense lines, 10 to 90 degrees two-theta, low angle first:
| h k l | 2theta | Rel. int. |
| --- | --- | --- |
| 0 1 -1 | 16.23 | 100.0 |
| 0 1 1 | 16.39 | 83.6 |
| 0 0 2 | 20.97 | 42.5 |
| 1 0 -1 | 21.40 | 66.4 |
| -1 1 1 | 22.61 | 39.0 |
| 1 1 0 | 24.75 | 74.7 |
| 1 -2 1 | 29.70 | 44.8 |
| -1 2 1 | 29.86 | 38.8 |
| 0 2 -2 | 32.79 | 46.0 |
| 1 0 -3 | 37.01 | 33.8 |

Structural model:
```
data_Sb2P4H3O16
_cell_length_a 4.889
_cell_length_b 7.270
_cell_length_c 8.472
_cell_angle_alpha 90.58
_cell_angle_beta 90.02
_cell_angle_gamma 102.96
_symmetry_space_group_name_H-M 'P 1'
_symmetry_Int_Tables_number 1
_symmetry_space_group_name_Hall 'P 1'
loop_
_atom_site_label
_atom_site_type_symbol
_atom_site_fract_x
_atom_site_fract_y
_atom_site_fract_z
Sb1 Sb 0.000 0.000 0.000
Sb2 Sb 0.499 0.511 0.493
P1 P 0.074 0.774 0.660
P2 P 0.384 0.731 0.144
P3 P 0.607 0.265 0.849
P4 P 0.921 0.243 0.330
H1 H 0.330 0.062 0.602
H2 H 0.663 0.959 0.394
H3 H 0.954 0.486 0.982
O1 O 0.119 0.835 0.836
O2 O 0.177 0.591 0.630
O3 O 0.211 0.550 0.080
O4 O 0.211 0.892 0.162
O5 O 0.234 0.283 0.376
O6 O 0.243 0.935 0.555
O7 O 0.358 0.194 0.964
O8 O 0.494 0.283 0.681
O9 O 0.499 0.722 0.317
O10 O 0.646 0.807 0.036
O11 O 0.755 0.085 0.438
O12 O 0.760 0.738 0.616
O13 O 0.776 0.457 0.908
O14 O 0.799 0.117 0.836
O15 O 0.811 0.425 0.352
O16 O 0.881 0.175 0.155
```